V3H4NO8: theoretical powder diffraction line list (Cu Kα, 1.54184 Å), based on DFT lattice parameters and positions (GGA+U).
Lines closer than 0.1° are merged.

Atomic structure:
```
data_V3H4NO8
_chemical_formula_sum 'V6 H8 N2 O16'
_cell_length_a 5.099
_cell_length_b 8.582
_cell_length_c 8.053
_cell_angle_alpha 90.00
_cell_angle_beta 96.43
_cell_angle_gamma 90.00
_space_group_name_H-M_alt 'P 1'
_space_group_IT_number 1
loop_
_space_group_symop_operation_xyz
'x,y,z'
loop_
_atom_site_label
_atom_site_type_symbol
_atom_site_fract_x
_atom_site_fract_y
_atom_site_fract_z
_atom_site_occupancy
V1 V 0.062 0.055 0.320 1
V2 V 0.062 0.445 0.320 1
V3 V 0.423 0.750 0.573 1
V4 V 0.577 0.250 0.427 1
V5 V 0.938 0.555 0.680 1
V6 V 0.938 0.945 0.680 1
H1 H 0.257 0.750 0.069 1
H2 H 0.455 0.154 0.874 1
H3 H 0.455 0.346 0.874 1
H4 H 0.500 0.250 0.057 1
H5 H 0.500 0.750 0.943 1
H6 H 0.545 0.654 0.126 1
H7 H 0.545 0.846 0.126 1
H8 H 0.743 0.250 0.931 1
N1 N 0.459 0.750 0.066 1
N2 N 0.541 0.250 0.934 1
O1 O 0.064 0.063 0.826 1
O2 O 0.064 0.437 0.826 1
O3 O 0.079 0.750 0.751 1
O4 O 0.179 0.588 0.505 1
O5 O 0.179 0.912 0.505 1
O6 O 0.390 0.101 0.277 1
O7 O 0.390 0.250 0.578 1
O8 O 0.390 0.399 0.277 1
O9 O 0.610 0.601 0.723 1
O10 O 0.610 0.750 0.422 1
O11 O 0.610 0.899 0.723 1
O12 O 0.821 0.088 0.495 1
O13 O 0.821 0.412 0.495 1
O14 O 0.921 0.250 0.249 1
O15 O 0.936 0.563 0.174 1
O16 O 0.936 0.937 0.174 1
```

Most intense lines, 2θ from 10° to 90°, low angle first:
(0 0 1), 11.1°, intensity 100
(0 1 1), 15.1°, intensity 34
(1 0 0), 17.5°, intensity 8
(0 1 2), 24.5°, intensity 19
(1 0 -2), 26.8°, intensity 13
(1 2 0), 27.2°, intensity 45
(1 2 1), 30.2°, intensity 17
(0 2 2), 30.5°, intensity 12
(2 0 0), 35.4°, intensity 8
(2 0 -2), 39.9°, intensity 14
(1 3 2), 43.9°, intensity 16
(0 3 4), 56.1°, intensity 7

Li9Mn2Co5O16: theoretical powder diffraction line list (Cu Kα, 1.54184 Å), based on DFT lattice parameters and positions (GGA+U).
Lines closer than 0.1° are merged.

Atomic structure:
```
data_Li9Mn2Co5O16
_chemical_formula_sum 'Li9 Mn2 Co5 O16'
_cell_length_a 5.004
_cell_length_b 5.921
_cell_length_c 10.177
_cell_angle_alpha 105.11
_cell_angle_beta 100.11
_cell_angle_gamma 91.25
_space_group_name_H-M_alt 'P 1'
_space_group_IT_number 1
loop_
_space_group_symop_operation_xyz
'x,y,z'
loop_
_atom_site_label
_atom_site_type_symbol
_atom_site_fract_x
_atom_site_fract_y
_atom_site_fract_z
_atom_site_occupancy
Li1 Li 0.000 0.000 0.000 1
Li2 Li 0.002 0.483 0.003 1
Li3 Li 0.006 0.490 0.493 1
Li4 Li 0.248 0.364 0.244 1
Li5 Li 0.488 0.741 0.999 1
Li6 Li 0.492 0.235 0.490 1
Li7 Li 0.494 0.738 0.491 1
Li8 Li 0.498 0.237 0.995 1
Li9 Li 0.997 0.983 0.494 1
Mn1 Mn 0.746 0.613 0.745 1
Mn2 Mn 0.748 0.116 0.245 1
Co1 Co 0.246 0.866 0.746 1
Co2 Co 0.248 0.360 0.745 1
Co3 Co 0.248 0.866 0.247 1
Co4 Co 0.748 0.113 0.746 1
Co5 Co 0.753 0.607 0.244 1
O1 O 0.105 0.168 0.862 1
O2 O 0.108 0.671 0.861 1
O3 O 0.109 0.689 0.355 1
O4 O 0.114 0.143 0.353 1
O5 O 0.380 0.591 0.143 1
O6 O 0.383 0.041 0.136 1
O7 O 0.385 0.553 0.625 1
O8 O 0.392 0.058 0.633 1
O9 O 0.606 0.934 0.359 1
O10 O 0.607 0.439 0.863 1
O11 O 0.610 0.943 0.860 1
O12 O 0.653 0.407 0.355 1
O13 O 0.854 0.291 0.127 1
O14 O 0.877 0.814 0.139 1
O15 O 0.883 0.789 0.627 1
O16 O 0.887 0.281 0.630 1
```

Most intense lines, 2θ from 10° to 90°, low angle first:
(0 0 2), 18.4°, intensity 100
(1 -2 0), 35.3°, intensity 16
(1 2 -2), 36.2°, intensity 13
(2 0 0), 36.6°, intensity 12
(1 -2 2), 37.5°, intensity 8
(-1 2 2), 42.4°, intensity 30
(1 2 -4), 44.0°, intensity 27
(2 0 2), 44.4°, intensity 26
(1 2 4), 62.8°, intensity 7
(0 4 -2), 62.8°, intensity 15
(3 -2 0), 63.5°, intensity 7
(3 2 -2), 64.8°, intensity 7

Mn5Si2O10: theoretical powder diffraction line list (Cu Kα, 1.54184 Å), based on DFT lattice parameters and positions (GGA+U).
Lines closer than 0.1° are merged.

Atomic structure:
```
data_Mn5Si2O10
_chemical_formula_sum 'Mn10 Si4 O20'
_cell_length_a 8.028
_cell_length_b 4.874
_cell_length_c 10.690
_cell_angle_alpha 90.00
_cell_angle_beta 107.37
_cell_angle_gamma 90.00
_space_group_name_H-M_alt 'P 1'
_space_group_IT_number 1
loop_
_space_group_symop_operation_xyz
'x,y,z'
loop_
_atom_site_label
_atom_site_type_symbol
_atom_site_fract_x
_atom_site_fract_y
_atom_site_fract_z
_atom_site_occupancy
Mn1 Mn 0.000 0.000 0.000 1
Mn2 Mn 0.000 0.500 0.500 1
Mn3 Mn 0.214 0.026 0.336 1
Mn4 Mn 0.214 0.474 0.836 1
Mn5 Mn 0.422 0.012 0.105 1
Mn6 Mn 0.422 0.488 0.605 1
Mn7 Mn 0.578 0.512 0.395 1
Mn8 Mn 0.578 0.988 0.895 1
Mn9 Mn 0.786 0.526 0.164 1
Mn10 Mn 0.786 0.974 0.664 1
Si1 Si 0.207 0.577 0.143 1
Si2 Si 0.207 0.923 0.643 1
Si3 Si 0.793 0.077 0.357 1
Si4 Si 0.793 0.423 0.857 1
O1 O 0.037 0.711 0.176 1
O2 O 0.037 0.789 0.676 1
O3 O 0.199 0.707 0.999 1
O4 O 0.199 0.793 0.499 1
O5 O 0.222 0.238 0.145 1
O6 O 0.222 0.262 0.645 1
O7 O 0.380 0.737 0.244 1
O8 O 0.380 0.763 0.744 1
O9 O 0.404 0.202 0.944 1
O10 O 0.404 0.298 0.444 1
O11 O 0.596 0.702 0.556 1
O12 O 0.596 0.798 0.056 1
O13 O 0.620 0.237 0.256 1
O14 O 0.620 0.263 0.756 1
O15 O 0.778 0.738 0.355 1
O16 O 0.778 0.762 0.855 1
O17 O 0.801 0.207 0.501 1
O18 O 0.801 0.293 0.001 1
O19 O 0.963 0.211 0.324 1
O20 O 0.963 0.289 0.824 1
```

Most intense lines, 2θ from 10° to 90°, low angle first:
(1 1 1), 24.6°, intensity 90
(2 1 -1), 28.9°, intensity 73
(1 1 -3), 31.3°, intensity 63
(0 1 3), 32.1°, intensity 63
(2 1 1), 32.9°, intensity 100
(2 0 2), 33.2°, intensity 27
(2 1 -3), 34.8°, intensity 54
(0 2 0), 36.9°, intensity 33
(3 1 -1), 38.4°, intensity 37
(2 2 2), 50.4°, intensity 48
(1 2 -4), 50.7°, intensity 50
(3 2 -2), 51.2°, intensity 54

Na2NiP2H2O6: theoretical powder diffraction line list (Cu Kα, 1.54184 Å), based on DFT lattice parameters and positions (GGA+U).
Lines closer than 0.1° are merged.

Atomic structure:
```
data_Na2NiP2H2O6
_chemical_formula_sum 'Na8 Ni4 P8 H8 O24'
_cell_length_a 12.162
_cell_length_b 5.417
_cell_length_c 9.249
_cell_angle_alpha 90.00
_cell_angle_beta 90.00
_cell_angle_gamma 90.00
_space_group_name_H-M_alt 'P 1'
_space_group_IT_number 1
loop_
_space_group_symop_operation_xyz
'x,y,z'
loop_
_atom_site_label
_atom_site_type_symbol
_atom_site_fract_x
_atom_site_fract_y
_atom_site_fract_z
_atom_site_occupancy
Na1 Na 0.095 0.250 0.224 1
Na2 Na 0.222 0.250 0.824 1
Na3 Na 0.278 0.750 0.324 1
Na4 Na 0.405 0.750 0.724 1
Na5 Na 0.595 0.250 0.276 1
Na6 Na 0.722 0.250 0.676 1
Na7 Na 0.778 0.750 0.176 1
Na8 Na 0.905 0.750 0.776 1
Ni1 Ni 0.160 0.750 0.635 1
Ni2 Ni 0.340 0.250 0.135 1
Ni3 Ni 0.660 0.750 0.865 1
Ni4 Ni 0.840 0.250 0.365 1
P1 P 0.018 0.250 0.624 1
P2 P 0.186 0.750 0.000 1
P3 P 0.314 0.250 0.500 1
P4 P 0.482 0.750 0.124 1
P5 P 0.518 0.250 0.876 1
P6 P 0.686 0.750 0.500 1
P7 P 0.814 0.250 0.000 1
P8 P 0.982 0.750 0.376 1
H1 H 0.070 0.750 0.994 1
H2 H 0.081 0.250 0.497 1
H3 H 0.419 0.750 0.997 1
H4 H 0.430 0.250 0.494 1
H5 H 0.570 0.750 0.506 1
H6 H 0.581 0.250 0.003 1
H7 H 0.919 0.750 0.503 1
H8 H 0.930 0.250 0.006 1
O1 O 0.051 0.017 0.709 1
O2 O 0.051 0.483 0.709 1
O3 O 0.104 0.750 0.422 1
O4 O 0.216 0.513 0.084 1
O5 O 0.216 0.987 0.084 1
O6 O 0.230 0.750 0.845 1
O7 O 0.270 0.250 0.345 1
O8 O 0.284 0.013 0.584 1
O9 O 0.284 0.487 0.584 1
O10 O 0.396 0.250 0.922 1
O11 O 0.449 0.517 0.209 1
O12 O 0.449 0.983 0.209 1
O13 O 0.551 0.017 0.791 1
O14 O 0.551 0.483 0.791 1
O15 O 0.604 0.750 0.078 1
O16 O 0.716 0.513 0.416 1
O17 O 0.716 0.987 0.416 1
O18 O 0.730 0.750 0.655 1
O19 O 0.770 0.250 0.155 1
O20 O 0.784 0.013 0.916 1
O21 O 0.784 0.487 0.916 1
O22 O 0.896 0.250 0.578 1
O23 O 0.949 0.517 0.291 1
O24 O 0.949 0.983 0.291 1
```

Most intense lines, 2θ from 10° to 90°, low angle first:
(1 0 1), 12.0°, intensity 79
(2 0 0), 14.6°, intensity 32
(2 0 1), 17.5°, intensity 36
(1 0 2), 20.5°, intensity 38
(2 1 0), 22.0°, intensity 46
(3 0 1), 24.0°, intensity 30
(2 1 2), 29.3°, intensity 36
(0 2 0), 33.1°, intensity 42
(4 1 0), 33.8°, intensity 100
(1 1 3), 34.3°, intensity 51
(4 1 1), 35.2°, intensity 39
(4 2 1), 45.9°, intensity 35